# CsPPbO4
Computed XRD peak list, λ = 1.5418 Å (Cu Kα). Input: DFT lattice parameters and positions (GGA-PBE).

Atomic structure:
Lattice parameters (Å, degrees): 10.084 5.802 9.163 90.00 90.00 90.00
Sites, in units of the cell vectors:
Cs: 0.023 0.250 0.148
Cs: 0.477 0.750 0.648
Cs: 0.523 0.250 0.352
Cs: 0.977 0.750 0.852
P: 0.165 0.750 0.409
P: 0.335 0.250 0.909
P: 0.665 0.750 0.091
P: 0.835 0.250 0.591
Pb: 0.157 0.250 0.588
Pb: 0.343 0.750 0.088
Pb: 0.657 0.250 0.912
Pb: 0.843 0.750 0.412
O: 0.058 0.750 0.535
O: 0.097 0.750 0.258
O: 0.247 0.030 0.928
O: 0.247 0.470 0.928
O: 0.253 0.530 0.428
O: 0.253 0.970 0.428
O: 0.403 0.250 0.758
O: 0.442 0.250 0.035
O: 0.558 0.750 0.965
O: 0.597 0.750 0.242
O: 0.747 0.030 0.572
O: 0.747 0.470 0.572
O: 0.753 0.530 0.072
O: 0.753 0.970 0.072
O: 0.903 0.250 0.742
O: 0.942 0.250 0.465

Principal peaks in the range 10° ≤ 2θ ≤ 90°, low angle first:
(1 1 1), 20.14°, rel. 31
(2 1 0), 23.37°, rel. 31
(2 1 1), 25.34°, rel. 42
(1 1 2), 26.31°, rel. 100
(3 0 1), 28.28°, rel. 48
(0 2 0), 30.82°, rel. 39
(1 2 2), 37.77°, rel. 36
(3 2 1), 42.32°, rel. 33